Record 1
Structure and simulated XRD peak list of Li5Si2NiO8 (the PBE+U geometry in the Materials Project; a wavelength of 1.5418 Å).
Lines closer than 0.1° are merged.

Cell and atoms:
Cell: 5.2102 5.2102 6.2861 Å, 90.18 90.18 90.84°
Positions (direct):
Li 0.0000 0.0000 0.0000
Li 0.3534 0.6466 0.0000
Li 0.5081 0.1164 0.2416
Li 0.8836 0.4919 0.7584
Li 0.9910 0.0090 0.5000
Si 0.5132 0.1330 0.7542
Si 0.8670 0.4868 0.2458
Ni 0.3625 0.6375 0.5000
O 0.0011 0.6175 0.4658
O 0.3788 0.0191 0.9653
O 0.3825 0.9989 0.5342
O 0.4573 0.4536 0.7366
O 0.5464 0.5427 0.2634
O 0.8224 0.1172 0.7490
O 0.8828 0.1776 0.2510
O 0.9809 0.6212 0.0347

Largest 10 diffraction maxima, by intensity, 2θ from 15° to 90°:
22.15 deg, intensity 1000; 33.29 deg, intensity 672; 34.43 deg, intensity 653; 17.02 deg, intensity 315; 28.29 deg, intensity 261; 60.86 deg, intensity 176; 61.05 deg, intensity 169; 27.92 deg, intensity 144; 23.98 deg, intensity 143; 48.45 deg, intensity 108

Record 2
Structure and simulated XRD peak list of Li4Si2NiO7 (the PBE+U geometry in the Materials Project; a wavelength of 1.5418 Å).
Lines closer than 0.1° are merged.

Cell and atoms:
Cell: 4.5115 7.8971 9.2025 Å, 68.05 76.88 74.18°
Positions (direct):
Li 0.0000 0.0000 0.0000
Li 0.0593 0.2346 0.6419
Li 0.2164 0.6533 0.9272
Li 0.3657 0.0834 0.2050
Li 0.4985 0.5020 0.5008
Li 0.5607 0.7340 0.1415
Li 0.7164 0.1551 0.4275
Li 0.8651 0.5834 0.7057
Si 0.1599 0.4343 0.2893
Si 0.4546 0.2948 0.8507
Si 0.6599 0.9338 0.7889
Si 0.9549 0.7959 0.3503
Ni 0.2933 0.8823 0.5610
Ni 0.7929 0.3790 0.0629
O 0.0068 0.2891 0.2539
O 0.1267 0.4388 0.8818
O 0.1295 0.7034 0.5099
O 0.1767 0.8968 0.1945
O 0.3277 0.3305 0.4475
O 0.3659 0.1131 0.8206
O 0.3965 0.5297 0.1330
O 0.5047 0.7897 0.7532
O 0.6278 0.9413 0.3803
O 0.6303 0.2017 0.0099
O 0.6754 0.3968 0.6950
O 0.8290 0.8287 0.9465
O 0.8658 0.6142 0.3201
O 0.8959 0.0302 0.6327

Largest 10 diffraction maxima, by intensity, 2θ from 15° to 90°:
18.71 deg, intensity 1000; 36.33 deg, intensity 641; 35.57 deg, intensity 629; 24.85 deg, intensity 595; 35.78 deg, intensity 567; 24.52 deg, intensity 564; 35.17 deg, intensity 529; 24.98 deg, intensity 521; 59.81 deg, intensity 366; 58.56 deg, intensity 202

What did the second record say?
Structure and simulated XRD peak list of Li4Si2NiO7 (the PBE+U geometry in the Materials Project; a wavelength of 1.5418 Å).
Lines closer than 0.1° are merged.

Cell and atoms:
Cell: 4.5115 7.8971 9.2025 Å, 68.05 76.88 74.18°
Positions (direct):
Li 0.0000 0.0000 0.0000
Li 0.0593 0.2346 0.6419
Li 0.2164 0.6533 0.9272
Li 0.3657 0.0834 0.2050
Li 0.4985 0.5020 0.5008
Li 0.5607 0.7340 0.1415
Li 0.7164 0.1551 0.4275
Li 0.8651 0.5834 0.7057
Si 0.1599 0.4343 0.2893
Si 0.4546 0.2948 0.8507
Si 0.6599 0.9338 0.7889
Si 0.9549 0.7959 0.3503
Ni 0.2933 0.8823 0.5610
Ni 0.7929 0.3790 0.0629
O 0.0068 0.2891 0.2539
O 0.1267 0.4388 0.8818
O 0.1295 0.7034 0.5099
O 0.1767 0.8968 0.1945
O 0.3277 0.3305 0.4475
O 0.3659 0.1131 0.8206
O 0.3965 0.5297 0.1330
O 0.5047 0.7897 0.7532
O 0.6278 0.9413 0.3803
O 0.6303 0.2017 0.0099
O 0.6754 0.3968 0.6950
O 0.8290 0.8287 0.9465
O 0.8658 0.6142 0.3201
O 0.8959 0.0302 0.6327

Largest 10 diffraction maxima, by intensity, 2θ from 15° to 90°:
18.71 deg, intensity 1000; 36.33 deg, intensity 641; 35.57 deg, intensity 629; 24.85 deg, intensity 595; 35.78 deg, intensity 567; 24.52 deg, intensity 564; 35.17 deg, intensity 529; 24.98 deg, intensity 521; 59.81 deg, intensity 366; 58.56 deg, intensity 202